YZr4O10: simulated powder XRD pattern (Cu Ka), based on a DFT-relaxed cell (PBE, the Materials Project).
Neutral-atom scattering factors, no anomalous dispersion.

Crystal structure
```
YZr4O10
1.0
-4.116 4.116 2.610
4.116 -4.116 2.610
4.116 4.116 -2.610
Y Zr O
1 4 10
direct
0.000 0.000 0.000 Y
0.200 0.399 0.599 Zr
0.399 0.800 0.198 Zr
0.601 0.200 0.802 Zr
0.800 0.601 0.401 Zr
0.051 0.360 0.895 O
0.156 0.051 0.691 O
0.250 0.750 0.500 O
0.360 0.465 0.309 O
0.465 0.156 0.105 O
0.535 0.844 0.895 O
0.640 0.535 0.691 O
0.750 0.250 0.500 O
0.844 0.949 0.309 O
0.949 0.640 0.105 O
```

Peak list (10 most intense, 10 to 90 degrees two-theta, low angle first)
2θ (°), I_rel
29.69, 100.0
34.42, 20.5
49.47, 60.6
58.68, 13.8
58.80, 27.3
61.65, 6.0
72.63, 5.7
80.27, 10.8
80.37, 5.4
82.90, 5.7